# Cs2CaTm2W4O16
Computed X-ray diffraction stick pattern, Cu Kα, 1.54184 Å. Input: DFT lattice parameters and positions (PBE+U).
Kinematic intensities with the Lorentz-polarization factor, no thermal factor.

Principal peaks in the range 15 to 90 degrees two-theta, low angle first:
2θ (°), d/Å, I_rel, h k l
15.32, 5.782, 28.1, 1 0 0
23.69, 3.756, 38.7, 0 0 2
26.94, 3.309, 28.9, 0 2 -1
27.14, 3.285, 100.0, 0 2 0
28.61, 3.120, 59.4, 2 0 2
28.92, 3.088, 92.8, 2 2 0
30.93, 2.891, 52.1, 2 0 0
31.44, 2.845, 44.5, 1 0 3
31.73, 2.820, 62.7, 0 2 -2
42.33, 2.135, 38.8, 1 2 3
45.84, 1.980, 30.5, 1 0 -3
47.72, 1.906, 34.4, 2 4 0

Crystal structure
Cell lengths 7.436, 7.640, 8.546 Å; angles 89.27, 64.69, 62.20 degrees
Fractional positions:
Cs 0.000 0.000 0.000
Cs 0.101 0.925 0.415
Ca 0.423 0.264 0.277
Tm 0.929 0.555 0.104
Tm 0.964 0.509 0.688
W 0.512 0.976 0.550
W 0.520 0.476 0.546
W 0.524 0.464 0.921
W 0.539 0.962 0.919
O 0.243 0.173 0.541
O 0.248 0.516 0.131
O 0.260 0.528 0.500
O 0.314 0.509 0.803
O 0.316 0.101 0.149
O 0.339 0.114 0.815
O 0.413 0.783 0.594
O 0.449 0.757 0.944
O 0.620 0.173 0.488
O 0.640 0.158 0.901
O 0.711 0.838 0.305
O 0.740 0.418 0.656
O 0.743 0.818 0.642
O 0.745 0.445 0.313
O 0.791 0.422 0.951
O 0.816 0.759 0.928